The following is a calculated powder XRD pattern of CdAg2GeS4. It was derived from DFT lattice parameters and positions (PBE), using Cu Ka.
Peak positions follow from Bragg's law for the DFT cell and can differ from measured ones.

Cell and atoms:
```
data_CdAg2GeS4
_symmetry_space_group_name_H-M 'P n a 21'
_symmetry_Int_Tables_number 33
_cell_length_a 13.9556
_cell_length_b 8.1530
_cell_length_c 6.6880
_cell_angle_alpha 90.00
_cell_angle_beta 90.00
_cell_angle_gamma 90.00
loop_
_symmetry_equiv_pos_as_xyz
'x,y,z'
'-x,-y,z+1/2'
'-x+1/2,y+1/2,z+1/2'
'x+1/2,-y+1/2,z'
loop_
_atom_site_label
_atom_site_type_symbol
_atom_site_fract_x
_atom_site_fract_y
_atom_site_fract_z
Cd1 Cd 0.1578 0.0133 0.0000
Ag1 Ag 0.0754 0.2616 0.4884
Ag2 Ag 0.1590 0.5008 0.0070
Ge1 Ge 0.0907 0.7590 0.4934
S1 S 0.0602 0.2582 0.8756
S2 S 0.0926 0.7557 0.8303
S3 S 0.1643 0.9883 0.3839
S4 S 0.1652 0.5286 0.3862
```

Peak list (10 most intense, 5° ≤ 2θ ≤ 70°, by angle)
2θ 25.30, rel. 51.3, (2 2 0)
2θ 25.53, rel. 32.8, (4 0 0)
2θ 26.66, rel. 61.7, (0 0 2)
2θ 28.66, rel. 100.0, (2 2 1)
2θ 28.86, rel. 38.4, (4 0 1)
2θ 37.08, rel. 21.7, (2 2 2)
2θ 44.45, rel. 22.6, (0 4 0)
2θ 44.87, rel. 41.6, (6 2 0)
2θ 48.33, rel. 48.5, (2 2 3)
2θ 52.95, rel. 31.4, (6 2 2)

The following is a calculated powder XRD pattern of K3ScBr6. It was derived from DFT lattice parameters and positions (PBE), using Cu Ka.
Peak positions follow from Bragg's law for the DFT cell and can differ from measured ones.

Cell and atoms:
```
data_K3ScBr6
_symmetry_space_group_name_H-M 'F m -3 m'
_symmetry_Int_Tables_number 225
_symmetry_space_group_name_Hall '-F 4 2 3'
_cell_length_a 11.5426
_cell_length_b 11.5426
_cell_length_c 11.5426
_cell_angle_alpha 90.00
_cell_angle_beta 90.00
_cell_angle_gamma 90.00
loop_
_atom_site_label
_atom_site_type_symbol
_atom_site_fract_x
_atom_site_fract_y
_atom_site_fract_z
K1 K 0.0000 0.0000 0.0000
K2 K 0.2500 0.2500 0.2500
Sc1 Sc 0.0000 0.0000 0.5000
Br1 Br 0.0000 0.0000 0.2701
```

Peak list (10 most intense, 5° ≤ 2θ ≤ 70°, by angle)
2θ 13.29, rel. 10.3, (1 1 1)
2θ 15.35, rel. 38.5, (2 0 0)
2θ 26.75, rel. 100.0, (2 2 2)
2θ 30.99, rel. 93.3, (4 0 0)
2θ 34.76, rel. 15.6, (4 2 0)
2θ 40.61, rel. 13.1, (3 3 3)
2θ 44.40, rel. 61.7, (4 4 0)
2θ 52.59, rel. 36.8, (6 2 2)
2θ 55.13, rel. 19.6, (4 4 4)
2θ 61.73, rel. 8.6, (7 3 1)

The following is a calculated powder XRD pattern of Re2Cl5O4. It was derived from DFT lattice parameters and positions (PBE), using Cu Ka.
Peak positions follow from Bragg's law for the DFT cell and can differ from measured ones.

Cell and atoms:
```
data_Re2Cl5O4
_symmetry_space_group_name_H-M 'P 1'
_symmetry_Int_Tables_number 1
_cell_length_a 5.9808
_cell_length_b 6.6965
_cell_length_c 9.2401
_cell_angle_alpha 106.12
_cell_angle_beta 107.85
_cell_angle_gamma 93.25
loop_
_symmetry_equiv_pos_as_xyz
'x,y,z'
loop_
_atom_site_label
_atom_site_type_symbol
_atom_site_fract_x
_atom_site_fract_y
_atom_site_fract_z
Re1 Re 0.0000 0.0000 0.0000
Re2 Re 0.1150 0.5587 0.5696
Cl1 Cl 0.2374 0.8954 0.1926
Cl2 Cl 0.3271 0.8848 0.6325
Cl3 Cl 0.3660 0.5330 0.8045
Cl4 Cl 0.8017 0.6753 0.4176
Cl5 Cl 0.8379 0.3287 0.5907
O1 O 0.1222 0.2423 0.0058
O2 O 0.2165 0.4065 0.4319
O3 O 0.7288 0.0226 0.0268
O4 O 0.9590 0.8194 0.8149
```

Peak list (10 most intense, 5° ≤ 2θ ≤ 70°, by angle)
2θ 14.66, rel. 100.0, (0 1 -1)
2θ 15.76, rel. 77.1, (1 0 0)
2θ 20.00, rel. 50.6, (0 1 1)
2θ 20.52, rel. 43.5, (1 1 -1)
2θ 21.25, rel. 32.2, (0 0 2)
2θ 21.66, rel. 52.0, (-1 1 1)
2θ 21.82, rel. 53.6, (1 0 -2)
2θ 22.62, rel. 30.7, (1 -1 1)
2θ 28.11, rel. 18.8, (0 2 0)
2θ 29.62, rel. 20.2, (1 -1 2)

The following is a calculated powder XRD pattern of Fe2CuS3. It was derived from DFT lattice parameters and positions (PBE), using Cu Ka.
Peak positions follow from Bragg's law for the DFT cell and can differ from measured ones.

Cell and atoms:
```
data_Fe2CuS3
_symmetry_space_group_name_H-M 'P 3 m 1'
_symmetry_Int_Tables_number 156
_cell_length_a 3.6983
_cell_length_b 3.6983
_cell_length_c 9.0592
_cell_angle_alpha 90.00
_cell_angle_beta 90.00
_cell_angle_gamma 120.00
loop_
_symmetry_equiv_pos_as_xyz
'x,y,z'
'-y,x-y,z'
'-x+y,-x,z'
'-y,-x,z'
'-x+y,y,z'
'x,x-y,z'
loop_
_atom_site_label
_atom_site_type_symbol
_atom_site_fract_x
_atom_site_fract_y
_atom_site_fract_z
Fe1 Fe 0.0000 0.0000 0.0000
Fe2 Fe 0.3333 0.6667 0.6626
Cu1 Cu 0.6667 0.3333 0.3362
S1 S 0.0000 0.0000 0.7503
S2 S 0.3333 0.6667 0.4188
S3 S 0.6667 0.3333 0.0823
```

Peak list (6 most intense, 5° ≤ 2θ ≤ 70°, by angle)
2θ 9.76, rel. 0.6, (0 0 1)
2θ 29.58, rel. 100.0, (1 0 1)
2θ 34.29, rel. 8.9, (0 1 2)
2θ 49.28, rel. 59.5, (1 1 0)
2θ 58.53, rel. 37.6, (0 1 5)
2θ 61.41, rel. 2.0, (2 0 2)

What is the formula in the first record? CdAg2GeS4